Entry 1:
Diffraction record for Sc2Si5Ir3. The powder XRD pattern is theoretical, not measured: it uses a cell relaxed with GGA-PBE and λ = 1.5418 Å (Cu Kα).

Principal peaks in the range 2θ from 10° to 80°, low angle first:
2θ (°), I/Imax
26.2, 446
26.5, 426
28.3, 1000
37.2, 581
44.8, 323
50.1, 466

Structural model:
Unit cell a=11.9126 b=11.9126 c=6.5456 alpha=90.00 beta=90.00 gamma=160.45
Fractional positions:
1 Sc 0.0184 0.9816 0.5000
2 Sc 0.3248 0.6752 0.5073
3 Sc 0.6752 0.3248 0.0073
4 Sc 0.9816 0.0184 0.0000
5 Si 0.1025 0.8975 0.1408
6 Si 0.2068 0.7932 0.7051
7 Si 0.2087 0.7913 0.2766
8 Si 0.3832 0.6168 0.0287
9 Si 0.4527 0.5473 0.3377
10 Si 0.5473 0.4527 0.8377
11 Si 0.6168 0.3832 0.5287
12 Si 0.7913 0.2087 0.7766
13 Si 0.7932 0.2068 0.2051
14 Si 0.8975 0.1025 0.6408
15 Ir 0.1060 0.8940 0.7682
16 Ir 0.2776 0.7224 0.9888
17 Ir 0.4457 0.5543 0.7224
18 Ir 0.5543 0.4457 0.2224
19 Ir 0.7224 0.2776 0.4888
20 Ir 0.8940 0.1060 0.2682

***

Entry 2:
Diffraction record for Sm3ScIr8. The powder XRD pattern is theoretical, not measured: it uses a cell relaxed with GGA-PBE and λ = 1.5418 Å (Cu Kα).

Principal peaks in the range 2θ from 10° to 80°, low angle first:
2θ (°), I/Imax
20.3, 243
33.4, 155
39.4, 1000
41.2, 551
63.7, 325
70.1, 302

Structural model:
Unit cell a=9.2947 b=9.2947 c=9.2947 alpha=33.59 beta=33.59 gamma=33.59
Fractional positions:
1 Sm 0.0000 0.0000 0.0000
2 Sm 0.1259 0.1259 0.1259
3 Sm 0.5031 0.5031 0.5031
4 Sc 0.6275 0.6275 0.6275
5 Ir 0.0609 0.5632 0.5632
6 Ir 0.0647 0.0647 0.5657
7 Ir 0.0647 0.5657 0.0647
8 Ir 0.3135 0.3135 0.3135
9 Ir 0.5632 0.0609 0.5632
10 Ir 0.5632 0.5632 0.0609
11 Ir 0.5657 0.0647 0.0647
12 Ir 0.8137 0.8137 0.8137

***

Entry 3:
Diffraction record for Sc3Sn2Ir. The powder XRD pattern is theoretical, not measured: it uses a cell relaxed with GGA-PBE and λ = 1.5418 Å (Cu Kα).

Principal peaks in the range 2θ from 10° to 80°, low angle first:
2θ (°), I/Imax
11.6, 828
17.6, 461
23.1, 726
35.4, 1000
37.9, 604
40.4, 582

Structural model:
Unit cell a=11.6754 b=4.4650 c=10.0502 alpha=90.00 beta=90.00 gamma=90.00
Fractional positions:
1 Sc 0.0529 0.2500 0.1455
2 Sc 0.1562 0.7500 0.5820
3 Sc 0.2454 0.2500 0.8047
4 Sc 0.2546 0.7500 0.3047
5 Sc 0.3438 0.2500 0.0820
6 Sc 0.4471 0.7500 0.6455
7 Sc 0.5529 0.2500 0.3545
8 Sc 0.6562 0.7500 0.9180
9 Sc 0.7454 0.2500 0.6953
10 Sc 0.7546 0.7500 0.1953
11 Sc 0.8438 0.2500 0.4180
12 Sc 0.9471 0.7500 0.8545
13 Sn 0.0087 0.2500 0.6600
14 Sn 0.1683 0.7500 0.0067
15 Sn 0.3317 0.2500 0.5067
16 Sn 0.4913 0.7500 0.1600
17 Sn 0.5087 0.2500 0.8400
18 Sn 0.6683 0.7500 0.4933
19 Sn 0.8317 0.2500 0.9933
20 Sn 0.9913 0.7500 0.3400
21 Ir 0.1221 0.2500 0.3936
22 Ir 0.3779 0.7500 0.8936
23 Ir 0.6221 0.2500 0.1064
24 Ir 0.8779 0.7500 0.6064

***

Entry 4:
Diffraction record for ScSn2Ir2. The powder XRD pattern is theoretical, not measured: it uses a cell relaxed with GGA-PBE and λ = 1.5418 Å (Cu Kα).

Principal peaks in the range 2θ from 10° to 80°, low angle first:
2θ (°), I/Imax
21.6, 254
27.1, 186
39.5, 1000
39.8, 247
41.2, 224
72.1, 175

Structural model:
Unit cell a=4.3825 b=4.5282 c=9.9411 alpha=90.00 beta=90.00 gamma=90.00
Fractional positions:
1 Sc 0.2500 0.2500 0.1757
2 Sc 0.7500 0.7500 0.8243
3 Sn 0.2500 0.2500 0.4922
4 Sn 0.2500 0.2500 0.8269
5 Sn 0.7500 0.7500 0.1731
6 Sn 0.7500 0.7500 0.5078
7 Ir 0.2500 0.7500 0.3339
8 Ir 0.2500 0.7500 0.9965
9 Ir 0.7500 0.2500 0.0035
10 Ir 0.7500 0.2500 0.6661

***

Entry 5:
Diffraction record for Sc4SnIr. The powder XRD pattern is theoretical, not measured: it uses a cell relaxed with GGA-PBE and λ = 1.5418 Å (Cu Kα).

Principal peaks in the range 2θ from 10° to 80°, low angle first:
2θ (°), I/Imax
23.2, 1000
37.9, 672
39.3, 320
43.8, 193
46.1, 332
70.3, 212

Structural model:
Unit cell a=4.5893 b=4.5893 c=6.9523 alpha=90.00 beta=90.00 gamma=90.00
Fractional positions:
1 Sc 0.0000 0.5000 0.2211
2 Sc 0.0000 0.5000 0.7789
3 Sc 0.5000 0.0000 0.2211
4 Sc 0.5000 0.0000 0.7789
5 Sn 0.0000 0.0000 0.5000
6 Ir 0.5000 0.5000 0.0000

***

Entry 6:
Diffraction record for ScTcIr. The powder XRD pattern is theoretical, not measured: it uses a cell relaxed with GGA-PBE and λ = 1.5418 Å (Cu Kα).

Principal peaks in the range 2θ from 10° to 80°, low angle first:
2θ (°), I/Imax
18.3, 670
25.5, 507
34.6, 221
39.0, 855
41.4, 680
42.5, 1000

Structural model:
Unit cell a=5.0328 b=5.3133 c=5.3133 alpha=48.44 beta=90.00 gamma=90.00
Fractional positions:
1 Sc 0.0000 0.0000 0.0000
2 Sc 0.5000 0.4169 0.4169
3 Tc 0.2333 0.7007 0.7007
4 Tc 0.7667 0.7007 0.7007
5 Ir 0.0000 0.3025 0.3025
6 Ir 0.5000 0.1337 0.1337

***

Entry 7:
Diffraction record for ZrSc2TeIr. The powder XRD pattern is theoretical, not measured: it uses a cell relaxed with GGA-PBE and λ = 1.5418 Å (Cu Kα).

Principal peaks in the range 2θ from 10° to 80°, low angle first:
2θ (°), I/Imax
24.4, 995
24.8, 1000
30.2, 762
34.3, 540
35.3, 991
50.1, 725

Structural model:
Unit cell a=5.0790 b=5.0790 c=5.2330 alpha=90.00 beta=90.00 gamma=90.00
Fractional positions:
1 Zr 0.0000 0.0000 0.0000
2 Sc 0.0000 0.5000 0.5000
3 Sc 0.5000 0.0000 0.5000
4 Te 0.0000 0.0000 0.5000
5 Ir 0.5000 0.5000 0.0000

***

Entry 8:
Diffraction record for ScTi3Ir. The powder XRD pattern is theoretical, not measured: it uses a cell relaxed with GGA-PBE and λ = 1.5418 Å (Cu Kα).

Principal peaks in the range 2θ from 10° to 80°, low angle first:
2θ (°), I/Imax
18.6, 1000
26.4, 818
37.6, 657
42.3, 500
46.5, 360
54.3, 437

Structural model:
Unit cell a=4.7818 b=4.7818 c=4.7818 alpha=90.00 beta=90.00 gamma=90.00
Fractional positions:
1 Sc 0.0000 0.0000 0.0000
2 Ti 0.0000 0.5000 0.5000
3 Ti 0.5000 0.0000 0.5000
4 Ti 0.5000 0.5000 0.0000
5 Ir 0.5000 0.5000 0.5000

***

Entry 9:
Diffraction record for ScTiZnIr. The powder XRD pattern is theoretical, not measured: it uses a cell relaxed with GGA-PBE and λ = 1.5418 Å (Cu Kα).

Principal peaks in the range 2θ from 10° to 80°, low angle first:
2θ (°), I/Imax
24.1, 269
27.8, 288
39.8, 1000
47.0, 143
57.5, 165
72.2, 327

Structural model:
Unit cell a=4.5305 b=4.5305 c=4.5305 alpha=60.00 beta=60.00 gamma=60.00
Fractional positions:
1 Sc 0.0000 0.0000 0.0000
2 Ti 0.5000 0.5000 0.5000
3 Zn 0.2500 0.2500 0.2500
4 Ir 0.7500 0.7500 0.7500

***

Entry 10:
Diffraction record for Sc8TlIr2. The powder XRD pattern is theoretical, not measured: it uses a cell relaxed with GGA-PBE and λ = 1.5418 Å (Cu Kα).

Principal peaks in the range 2θ from 10° to 80°, low angle first:
2θ (°), I/Imax
22.6, 831
22.7, 730
25.6, 545
36.7, 468
37.8, 1000
43.3, 443

Structural model:
Unit cell a=8.4621 b=8.4621 c=8.4621 alpha=146.40 beta=57.65 gamma=134.60
Fractional positions:
1 Sc 0.0000 0.0000 0.0000
2 Sc 0.2649 0.5934 0.6715
3 Sc 0.3398 0.4513 0.8885
4 Sc 0.4272 0.1366 0.2906
5 Sc 0.5629 0.4513 0.1115
6 Sc 0.7347 0.2347 0.5000
7 Sc 0.8459 0.1366 0.7094
8 Sc 0.9219 0.5934 0.3285
9 Tl 0.2997 0.7997 0.5000
10 Ir 0.0038 0.8326 0.1711
11 Ir 0.6615 0.8326 0.8289

***

Entry 11:
Diffraction record for Tm2Sc2Ir3. The powder XRD pattern is theoretical, not measured: it uses a cell relaxed with GGA-PBE and λ = 1.5418 Å (Cu Kα).

Principal peaks in the range 2θ from 10° to 80°, low angle first:
2θ (°), I/Imax
22.6, 495
35.2, 227
38.4, 1000
39.2, 958
56.0, 335
70.4, 336

Structural model:
Unit cell a=8.1863 b=8.1863 c=8.1863 alpha=32.64 beta=32.64 gamma=32.64
Fractional positions:
1 Tm 0.1244 0.1244 0.1244
2 Tm 0.8756 0.8756 0.8756
3 Sc 0.3743 0.3743 0.3743
4 Sc 0.6257 0.6257 0.6257
5 Ir 0.0000 0.0000 0.0000
6 Ir 0.2538 0.2538 0.2538
7 Ir 0.7462 0.7462 0.7462

***

Entry 12:
Diffraction record for Tm3ScIr3. The powder XRD pattern is theoretical, not measured: it uses a cell relaxed with GGA-PBE and λ = 1.5418 Å (Cu Kα).

Principal peaks in the range 2θ from 10° to 80°, low angle first:
2θ (°), I/Imax
13.0, 199
36.6, 288
38.0, 257
38.5, 1000
53.8, 188
67.1, 192

Structural model:
Unit cell a=6.8229 b=6.8229 c=6.4190 alpha=90.00 beta=90.00 gamma=92.17
Fractional positions:
1 Tm 0.2464 0.7536 0.0000
2 Tm 0.2466 0.2466 0.0000
3 Tm 0.2638 0.2638 0.5000
4 Tm 0.7362 0.7362 0.5000
5 Tm 0.7534 0.7534 0.0000
6 Tm 0.7536 0.2464 0.0000
7 Sc 0.2267 0.7733 0.5000
8 Sc 0.7733 0.2267 0.5000
9 Ir 0.0000 0.0000 0.2545
10 Ir 0.0000 0.0000 0.7455
11 Ir 0.0000 0.5000 0.2574
12 Ir 0.0000 0.5000 0.7426
13 Ir 0.5000 0.0000 0.2574
14 Ir 0.5000 0.0000 0.7426

***

Entry 13:
Diffraction record for Y2ScIr2. The powder XRD pattern is theoretical, not measured: it uses a cell relaxed with GGA-PBE and λ = 1.5418 Å (Cu Kα).

Principal peaks in the range 2θ from 10° to 80°, low angle first:
2θ (°), I/Imax
22.9, 653
31.7, 713
33.9, 980
35.8, 894
39.1, 1000
42.9, 631

Structural model:
Unit cell a=6.1172 b=6.1172 c=10.4141 alpha=116.75 beta=116.75 gamma=40.29
Fractional positions:
1 Y 0.0242 0.0242 0.1916
2 Y 0.1816 0.1816 0.5964
3 Y 0.8184 0.8184 0.4036
4 Y 0.9758 0.9758 0.8084
5 Sc 0.2904 0.2904 0.1286
6 Sc 0.7096 0.7096 0.8714
7 Ir 0.3640 0.3640 0.9180
8 Ir 0.4707 0.4707 0.6091
9 Ir 0.5293 0.5293 0.3909
10 Ir 0.6360 0.6360 0.0820